# Rb2PuHgSe4
Calculated powder XRD pattern, Cu Kα. Input: a DFT-relaxed cell (PBE, Alexandria).
Lines closer than 0.1° are merged.

Cell and atoms:
```
data_Rb2PuHgSe4
_symmetry_space_group_name_H-M 'I -4 2 m'
_symmetry_Int_Tables_number 121
_symmetry_space_group_name_Hall 'I -4 2'
_cell_length_a 8.432
_cell_length_b 8.432
_cell_length_c 7.323
_cell_angle_alpha 90.00
_cell_angle_beta 90.00
_cell_angle_gamma 90.00
loop_
_atom_site_label
_atom_site_fract_x
_atom_site_fract_y
_atom_site_fract_z
_atom_site_occupancy
Rb1 0.000 0.500 0.000 1
Pu1 0.000 0.000 0.000 1
Hg1 0.000 0.000 0.500 1
Se1 0.171 0.171 0.252 1
```

Principal peaks in the range 2θ from 15° to 90°, in order of rising 2θ:
Position (°2θ)	I (rel.)	hkl
21.07	43.4	2 0 0
26.59	31.1	2 1 1
29.97	49.4	2 2 0
32.39	100.0	2 0 2
38.96	26.1	2 2 2
41.91	27.8	3 1 2
48.27	24.7	4 2 0
49.92	26.3	4 0 2
54.76	21.7	4 2 2
87.56	19.8	6 0 4